Diffraction record for RbReO2F4. The powder diffraction line list is computed, not measured: it uses a structure optimized by DFT (GGA-PBE) and a wavelength of 1.5418 Å.
Peak positions follow from Bragg's law for the DFT cell and can differ from measured ones.

Structure:
Unit cell a=5.199 b=5.199 c=9.736 alpha=90.00 beta=90.00 gamma=90.00
Fractional coordinates of all 16 atoms:
Rb (0.000, 0.500, 0.091)
Rb (0.500, 0.000, 0.909)
Re (0.000, 0.500, 0.678)
Re (0.500, 0.000, 0.322)
O (0.184, 0.684, 0.570)
O (0.316, 0.184, 0.430)
O (0.684, 0.816, 0.430)
O (0.816, 0.316, 0.570)
F (0.166, 0.666, 0.844)
F (0.245, 0.745, 0.291)
F (0.255, 0.245, 0.709)
F (0.334, 0.166, 0.156)
F (0.666, 0.834, 0.156)
F (0.745, 0.755, 0.709)
F (0.755, 0.255, 0.291)
F (0.834, 0.334, 0.844)

Top 8 peaks for 2θ = 10–90°, by intensity:
- 25.06 deg, I 100
- 24.21 deg, I 97
- 19.35 deg, I 79
- 43.12 deg, I 52
- 36.95 deg, I 25
- 44.66 deg, I 21
- 49.59 deg, I 18
- 34.50 deg, I 17

Diffraction record for ReO2F3. The powder diffraction line list is computed, not measured: it uses a structure optimized by DFT (GGA-PBE) and a wavelength of 1.5418 Å.
Peak positions follow from Bragg's law for the DFT cell and can differ from measured ones.

Structure:
Unit cell a=7.131 b=7.131 c=12.857 alpha=90.00 beta=90.00 gamma=83.15
Fractional coordinates of all 48 atoms:
Re (0.179, 0.821, 0.814)
Re (0.227, 0.227, 0.500)
Re (0.273, 0.273, 0.000)
Re (0.321, 0.679, 0.314)
Re (0.679, 0.321, 0.686)
Re (0.727, 0.727, 0.000)
Re (0.773, 0.773, 0.500)
Re (0.821, 0.179, 0.186)
O (0.052, 0.203, 0.413)
O (0.125, 0.627, 0.750)
O (0.127, 0.625, 0.250)
O (0.203, 0.052, 0.587)
O (0.297, 0.448, 0.087)
O (0.373, 0.875, 0.750)
O (0.375, 0.873, 0.250)
O (0.448, 0.297, 0.913)
O (0.552, 0.703, 0.087)
O (0.625, 0.127, 0.750)
O (0.627, 0.125, 0.250)
O (0.703, 0.552, 0.913)
O (0.797, 0.948, 0.413)
O (0.873, 0.375, 0.750)
O (0.875, 0.373, 0.250)
O (0.948, 0.797, 0.587)
F (0.001, 0.999, 0.244)
F (0.047, 0.192, 0.083)
F (0.074, 0.394, 0.922)
F (0.106, 0.426, 0.578)
F (0.192, 0.047, 0.917)
F (0.196, 0.804, 0.427)
F (0.304, 0.696, 0.927)
F (0.308, 0.453, 0.417)
F (0.394, 0.074, 0.078)
F (0.426, 0.106, 0.422)
F (0.453, 0.308, 0.583)
F (0.499, 0.501, 0.744)
F (0.501, 0.499, 0.256)
F (0.547, 0.692, 0.417)
F (0.574, 0.894, 0.578)
F (0.606, 0.926, 0.922)
F (0.692, 0.547, 0.583)
F (0.696, 0.304, 0.073)
F (0.804, 0.196, 0.573)
F (0.808, 0.953, 0.083)
F (0.894, 0.574, 0.422)
F (0.926, 0.606, 0.078)
F (0.953, 0.808, 0.917)
F (0.999, 0.001, 0.756)

Top 8 peaks for 2θ = 10–90°, by intensity:
- 21.65 deg, I 100
- 23.34 deg, I 60
- 18.64 deg, I 46
- 25.16 deg, I 45
- 26.11 deg, I 23
- 43.77 deg, I 22
- 19.99 deg, I 21
- 30.54 deg, I 17